Calculated powder X-ray diffraction pattern of SmPu4P5 for Cu Ka, from a cell relaxed with GGA-PBE.
Lines closer than 0.1° are merged.

Structural model:
abc: 4.0186 5.6682 20.0391
angles: 90.00 90.00 90.00
Space group Immm (No. 71)
Unique sites:
Sm  0.0000  0.0000  0.0000 (multiplicity 2)
Pu  0.0000  0.0000  0.2014 (multiplicity 4)
Pu  0.0000  0.0000  0.4010 (multiplicity 4)
P  0.0000  0.5000  0.0000 (multiplicity 2)
P  0.0000  0.5000  0.1994 (multiplicity 4)
P  0.0000  0.5000  0.3959 (multiplicity 4)

The 10 most intense peaks (2θ from 10° to 80°), in order of rising 2θ:
Position (°2θ)	I_rel
27.23	1000
31.54	933
45.20	580
45.25	115
53.57	417
56.11	124
56.22	122
65.85	115
72.67	172
74.88	267